[1]
Diffraction record for NpNbP3. The XRD peak list is computed, not measured: it uses a PBE-relaxed structure and λ = 1.5418 Å (Cu Kα).
Kinematic intensities with the Lorentz-polarization factor, no thermal factor.

Atomic structure:
Cell: 11.849 5.393 5.609 Å, 90.00 90.00 90.00°
Fractional positions:
Np: 0.179 0.008 0.250
Np: 0.179 0.492 0.750
Np: 0.821 0.508 0.250
Np: 0.821 0.992 0.750
Nb: 0.420 0.750 0.000
Nb: 0.420 0.750 0.500
Nb: 0.580 0.250 0.000
Nb: 0.580 0.250 0.500
P: 0.002 0.750 0.000
P: 0.002 0.750 0.500
P: 0.268 0.502 0.250
P: 0.268 0.998 0.750
P: 0.409 0.137 0.250
P: 0.409 0.363 0.750
P: 0.591 0.637 0.250
P: 0.591 0.863 0.750
P: 0.732 0.002 0.250
P: 0.732 0.498 0.750
P: 0.998 0.250 0.000
P: 0.998 0.250 0.500

Largest 10 diffraction maxima, in order of rising 2θ, 2θ = 15–90°:
d = 3.950 Å, 2θ = 22.51°, intensity 28; d = 3.694 Å, 2θ = 24.09°, intensity 100; d = 3.250 Å, 2θ = 27.44°, intensity 59; d = 2.535 Å, 2θ = 35.41°, intensity 32; d = 2.454 Å, 2θ = 36.61°, intensity 33; d = 2.370 Å, 2θ = 37.97°, intensity 20; d = 2.356 Å, 2θ = 38.20°, intensity 57; d = 2.287 Å, 2θ = 39.41°, intensity 22; d = 2.227 Å, 2θ = 40.51°, intensity 21; d = 1.944 Å, 2θ = 46.73°, intensity 36

***

[2]
Diffraction record for SrNdSnPb. The XRD peak list is computed, not measured: it uses a PBE-relaxed structure and λ = 1.5418 Å (Cu Kα).
Kinematic intensities with the Lorentz-polarization factor, no thermal factor.

Atomic structure:
Cell: 7.995 7.995 7.995 Å, 90.00 90.00 90.00°
Fractional positions:
Sr: 0.000 0.000 0.000
Sr: 0.000 0.500 0.500
Sr: 0.500 0.000 0.500
Sr: 0.500 0.500 0.000
Nd: 0.000 0.000 0.500
Nd: 0.000 0.500 0.000
Nd: 0.500 0.000 0.000
Nd: 0.500 0.500 0.500
Sn: 0.250 0.250 0.250
Sn: 0.250 0.750 0.750
Sn: 0.750 0.250 0.750
Sn: 0.750 0.750 0.250
Pb: 0.250 0.250 0.750
Pb: 0.250 0.750 0.250
Pb: 0.750 0.250 0.250
Pb: 0.750 0.750 0.750

Largest 10 diffraction maxima, in order of rising 2θ, 2θ = 15–90°:
d = 4.616 Å, 2θ = 19.23°, intensity 7; d = 3.997 Å, 2θ = 22.24°, intensity 3; d = 2.827 Å, 2θ = 31.65°, intensity 100; d = 2.411 Å, 2θ = 37.30°, intensity 4; d = 1.999 Å, 2θ = 45.37°, intensity 19; d = 1.834 Å, 2θ = 49.71°, intensity 2; d = 1.632 Å, 2θ = 56.38°, intensity 40; d = 1.413 Å, 2θ = 66.11°, intensity 12; d = 1.264 Å, 2θ = 75.16°, intensity 17; d = 1.154 Å, 2θ = 83.83°, intensity 4

***

[3]
Diffraction record for Cs2LaAsCl6. The XRD peak list is computed, not measured: it uses a PBE-relaxed structure and λ = 1.5418 Å (Cu Kα).
Kinematic intensities with the Lorentz-polarization factor, no thermal factor.

Atomic structure:
Cell: 8.578 8.578 8.578 Å, 127.81 127.81 76.94°
Fractional positions:
Cs: 0.250 0.750 0.500
Cs: 0.750 0.250 0.500
La: 0.000 0.000 0.000
As: 0.500 0.500 0.000
Cl: 0.206 0.206 0.000
Cl: 0.259 0.259 0.519
Cl: 0.259 0.741 0.000
Cl: 0.741 0.259 0.000
Cl: 0.741 0.741 0.481
Cl: 0.794 0.794 0.000

Largest 10 diffraction maxima, in order of rising 2θ, 2θ = 15–90°:
d = 4.178 Å, 2θ = 21.27°, intensity 100; d = 3.773 Å, 2θ = 23.58°, intensity 37; d = 3.358 Å, 2θ = 26.54°, intensity 37; d = 3.290 Å, 2θ = 27.11°, intensity 22; d = 2.668 Å, 2θ = 33.59°, intensity 44; d = 2.509 Å, 2θ = 35.80°, intensity 21; d = 2.249 Å, 2θ = 40.10°, intensity 39; d = 2.089 Å, 2θ = 43.31°, intensity 37; d = 2.064 Å, 2θ = 43.85°, intensity 21; d = 1.633 Å, 2θ = 56.35°, intensity 19

***

[4]
Diffraction record for PIrSN. The XRD peak list is computed, not measured: it uses a PBE-relaxed structure and λ = 1.5418 Å (Cu Kα).
Kinematic intensities with the Lorentz-polarization factor, no thermal factor.

Atomic structure:
Cell: 2.731 3.170 15.027 Å, 90.00 90.00 90.00°
Fractional positions:
P: 0.000 0.000 0.000
P: 0.500 0.500 0.500
Ir: 0.000 0.500 0.126
Ir: 0.500 0.000 0.626
S: 0.000 0.000 0.233
S: 0.500 0.500 0.733
N: 0.000 0.500 0.440
N: 0.500 0.000 0.940

Largest 10 diffraction maxima, in order of rising 2θ, 2θ = 15–90°:
d = 3.757 Å, 2θ = 23.68°, intensity 34; d = 3.102 Å, 2θ = 28.78°, intensity 47; d = 2.687 Å, 2θ = 33.34°, intensity 95; d = 2.679 Å, 2θ = 33.45°, intensity 100; d = 2.398 Å, 2θ = 37.51°, intensity 36; d = 2.181 Å, 2θ = 41.40°, intensity 52; d = 1.995 Å, 2θ = 45.47°, intensity 46; d = 1.812 Å, 2θ = 50.35°, intensity 68; d = 1.595 Å, 2θ = 57.80°, intensity 35; d = 1.365 Å, 2θ = 68.76°, intensity 31

***

[5]
Diffraction record for TmSi2PtRh2. The XRD peak list is computed, not measured: it uses a PBE-relaxed structure and λ = 1.5418 Å (Cu Kα).
Kinematic intensities with the Lorentz-polarization factor, no thermal factor.

Atomic structure:
Cell: 4.502 4.502 5.492 Å, 90.00 90.00 90.00°
Fractional positions:
Tm: 0.000 0.000 0.000
Si: 0.000 0.500 0.500
Si: 0.500 0.000 0.500
Pt: 0.000 0.000 0.500
Rh: 0.500 0.500 0.247
Rh: 0.500 0.500 0.753

Largest 10 diffraction maxima, in order of rising 2θ, 2θ = 15–90°:
d = 4.502 Å, 2θ = 19.72°, intensity 17; d = 3.183 Å, 2θ = 28.03°, intensity 93; d = 2.344 Å, 2θ = 38.40°, intensity 100; d = 2.251 Å, 2θ = 40.06°, intensity 54; d = 1.624 Å, 2θ = 56.69°, intensity 64; d = 1.592 Å, 2θ = 57.94°, intensity 18; d = 1.424 Å, 2θ = 65.57°, intensity 17; d = 1.317 Å, 2θ = 71.67°, intensity 16; d = 1.172 Å, 2θ = 82.24°, intensity 13; d = 1.137 Å, 2θ = 85.41°, intensity 20

***

[6]
Diffraction record for AcH8Ir2. The XRD peak list is computed, not measured: it uses a PBE-relaxed structure and λ = 1.5418 Å (Cu Kα).
Kinematic intensities with the Lorentz-polarization factor, no thermal factor.

Atomic structure:
Cell: 5.145 5.145 4.022 Å, 90.04 90.04 118.25°
Fractional positions:
Ac: 0.000 0.000 0.000
H: 0.024 0.320 0.501
H: 0.311 0.689 0.000
H: 0.320 0.024 0.501
H: 0.499 0.499 0.256
H: 0.501 0.501 0.744
H: 0.680 0.976 0.499
H: 0.689 0.311 0.000
H: 0.976 0.680 0.499
Ir: 0.330 0.670 0.500
Ir: 0.670 0.330 0.500

Largest 10 diffraction maxima, in order of rising 2θ, 2θ = 15–90°:
d = 3.008 Å, 2θ = 29.70°, intensity 100; d = 2.974 Å, 2θ = 30.05°, intensity 54; d = 2.640 Å, 2θ = 33.95°, intensity 40; d = 2.571 Å, 2θ = 34.89°, intensity 73; d = 2.011 Å, 2θ = 45.08°, intensity 19; d = 1.974 Å, 2θ = 45.97°, intensity 34; d = 1.600 Å, 2θ = 57.62°, intensity 18; d = 1.585 Å, 2θ = 58.19°, intensity 33; d = 1.584 Å, 2θ = 58.26°, intensity 17; d = 1.546 Å, 2θ = 59.81°, intensity 17

***

[7]
Diffraction record for NaCaZn17. The XRD peak list is computed, not measured: it uses a PBE-relaxed structure and λ = 1.5418 Å (Cu Kα).
Kinematic intensities with the Lorentz-polarization factor, no thermal factor.

Atomic structure:
Cell: 6.846 6.846 6.846 Å, 83.11 83.11 83.11°
Fractional positions:
Na: 0.000 0.000 0.000
Ca: 0.319 0.319 0.319
Zn: 0.007 0.007 0.502
Zn: 0.007 0.502 0.007
Zn: 0.160 0.655 0.655
Zn: 0.309 0.309 0.816
Zn: 0.309 0.816 0.309
Zn: 0.359 0.659 0.955
Zn: 0.359 0.955 0.659
Zn: 0.502 0.007 0.007
Zn: 0.559 0.559 0.559
Zn: 0.655 0.160 0.655
Zn: 0.655 0.655 0.160
Zn: 0.659 0.359 0.955
Zn: 0.659 0.955 0.359
Zn: 0.761 0.761 0.761
Zn: 0.816 0.309 0.309
Zn: 0.955 0.359 0.659
Zn: 0.955 0.659 0.359

Largest 10 diffraction maxima, in order of rising 2θ, 2θ = 15–90°:
d = 4.541 Å, 2θ = 19.55°, intensity 30; d = 2.622 Å, 2θ = 34.20°, intensity 23; d = 2.528 Å, 2θ = 35.51°, intensity 21; d = 2.270 Å, 2θ = 39.70°, intensity 51; d = 2.252 Å, 2θ = 40.03°, intensity 79; d = 2.201 Å, 2θ = 41.02°, intensity 32; d = 2.192 Å, 2θ = 41.18°, intensity 19; d = 2.018 Å, 2θ = 44.92°, intensity 100; d = 1.980 Å, 2θ = 45.82°, intensity 30; d = 1.311 Å, 2θ = 72.05°, intensity 20

***

[8]
Diffraction record for CsPIrO. The XRD peak list is computed, not measured: it uses a PBE-relaxed structure and λ = 1.5418 Å (Cu Kα).
Kinematic intensities with the Lorentz-polarization factor, no thermal factor.

Atomic structure:
Cell: 5.524 3.616 9.887 Å, 90.00 90.00 90.00°
Fractional positions:
Cs: 0.000 0.000 0.000
Cs: 0.000 0.500 0.500
P: 0.500 0.000 0.684
P: 0.500 0.500 0.184
Ir: 0.500 0.000 0.306
Ir: 0.500 0.500 0.806
O: 0.500 0.000 0.524
O: 0.500 0.500 0.024

Largest 10 diffraction maxima, in order of rising 2θ, 2θ = 15–90°:
d = 5.524 Å, 2θ = 16.05°, intensity 18; d = 3.684 Å, 2θ = 24.16°, intensity 100; d = 3.396 Å, 2θ = 26.24°, intensity 21; d = 2.893 Å, 2θ = 30.91°, intensity 90; d = 2.762 Å, 2θ = 32.42°, intensity 37; d = 2.436 Å, 2θ = 36.90°, intensity 40; d = 1.827 Å, 2θ = 49.92°, intensity 34; d = 1.655 Å, 2θ = 55.52°, intensity 30; d = 1.623 Å, 2θ = 56.72°, intensity 20; d = 1.619 Å, 2θ = 56.88°, intensity 16